Calculated X-ray diffraction stick pattern of LiMn2P2O10 for Cu Kα (weighted mean of Kα1 and Kα2), from a cell relaxed with GGA+U.
Lines closer than 0.1° are merged.

Top 8 peaks for 10° ≤ 2θ ≤ 80°, low angle first:
2θ = 17.23°, rel. 37
2θ = 19.41°, rel. 49
2θ = 20.74°, rel. 88
2θ = 21.80°, rel. 100
2θ = 26.06°, rel. 35
2θ = 27.73°, rel. 79
2θ = 32.67°, rel. 86
2θ = 44.99°, rel. 46

Cell and atoms:
```
30
Lattice="4.954 0.000 0.000 0.000 10.294 0.000 -2.176 0.000 6.680" Properties=species:S:1:pos:R:3 pbc="T T T"
Li 0.424 0.000 0.558
Li 2.354 5.147 6.123
Mn -0.630 5.513 3.783
Mn -0.169 6.946 6.253
Mn 2.947 1.799 0.427
Mn 3.408 0.366 2.897
P -0.371 7.770 1.514
P 1.737 4.626 1.872
P 1.040 9.773 4.809
P 3.148 2.623 5.166
O -1.536 6.628 5.025
O -1.182 3.998 4.872
O 0.022 7.018 2.804
O -0.879 1.749 6.042
O 0.917 8.144 0.706
O 0.445 4.314 2.660
O 0.060 0.293 3.944
O 1.290 5.471 0.622
O 0.368 8.495 5.291
O 0.723 5.756 5.080
O 2.055 0.609 1.600
O 2.410 3.348 1.389
O 1.487 0.324 6.058
O 2.717 5.440 2.737
O 2.333 9.461 4.020
O 1.861 2.997 5.975
O 3.657 6.896 0.638
O 2.756 1.871 3.876
O 3.960 9.145 1.808
O 4.314 1.481 1.655
```